(1)
Structure and calculated powder X-ray diffraction pattern of LiMnOF2 (a PBE+U-relaxed structure; Cu Ka).

The 8 most intense peaks (2θ = 10–90°), in order of rising 2θ:
Position (°2θ)	I/Imax	index
19.91	20	0 1 1
20.63	100	1 0 1
32.51	45	1 1 2
38.88	13	1 2 0
40.38	41	1 1 3
50.57	18	2 2 0
51.82	33	2 1 3
62.51	24	0 3 3

Cell and atoms:
Unit cell a=4.988 b=5.231 c=8.523 alpha=90.00 beta=90.00 gamma=90.00
Space group Pnn2 (No. 34)
One atom of each set of equivalent atoms:
Li (0.000, 0.000, 0.000)
Li (0.000, 0.500, 0.391)
Mn (0.000, 0.000, 0.642)
Mn (0.000, 0.500, 0.808)
O (0.182, 0.182, 0.802)
F (0.229, 0.165, 0.470)
F (0.230, 0.652, 0.630)



(2)
Structure and calculated powder X-ray diffraction pattern of Li2MnO2F (a PBE+U-relaxed structure; Cu Ka).

The 8 most intense peaks (2θ = 10–90°), in order of rising 2θ:
Position (°2θ)	I/Imax	index
18.28	100	0 0 2
20.74	41	1 1 -1
23.20	28	1 1 1
35.28	28	1 3 -1
42.61	45	2 0 2
42.98	91	1 3 -3
62.00	24	3 3 -1
62.26	34	0 6 0

Cell and atoms:
Unit cell a=5.192 b=8.946 c=9.847 alpha=90.00 beta=99.67 gamma=90.00
Space group C2/c (No. 15)
One atom of each set of equivalent atoms:
Li (0.000, 0.237, 0.250)
Li (0.236, 0.096, 0.505)
Li (0.250, 0.250, 0.000)
Mn (0.000, 0.086, 0.750)
Mn (0.000, 0.409, 0.750)
O (0.110, 0.241, 0.632)
O (0.150, 0.070, 0.144)
F (0.108, 0.416, 0.116)



(3)
Structure and calculated powder X-ray diffraction pattern of LiMnOF2 (a PBE+U-relaxed structure; Cu Ka).

The 8 most intense peaks (2θ = 10–90°), in order of rising 2θ:
Position (°2θ)	I/Imax	index
15.70	60	1 0 1
17.82	62	0 0 2
28.92	100	1 1 -1
29.86	18	1 0 -3
29.98	18	1 0 3
49.42	20	0 2 0
51.62	12	2 1 -4
51.84	12	2 1 4

Cell and atoms:
Unit cell a=6.850 b=3.688 c=9.955 alpha=90.00 beta=90.31 gamma=90.00
Space group P2_1/m (No. 11)
One atom of each set of equivalent atoms:
Li (0.054, 0.250, 0.216)
Li (0.446, 0.750, 0.717)
Mn (0.162, 0.250, 0.524)
Mn (0.339, 0.750, 0.024)
O (0.092, 0.750, 0.565)
O (0.409, 0.250, 0.065)
F (0.115, 0.750, 0.136)
F (0.215, 0.750, 0.840)
F (0.284, 0.250, 0.340)
F (0.386, 0.250, 0.637)



(4)
Structure and calculated powder X-ray diffraction pattern of LiMn2OF3 (a PBE+U-relaxed structure; Cu Ka).

The 8 most intense peaks (2θ = 10–90°), in order of rising 2θ:
Position (°2θ)	I/Imax	index
16.98	88	0 1 1
17.15	51	1 0 0
17.30	51	1 0 -2
32.71	32	0 1 3
39.64	50	0 0 4
40.42	100	2 2 -2
57.68	30	2 2 2
58.12	29	2 2 -6

Cell and atoms:
Unit cell a=6.246 b=6.380 c=10.982 alpha=90.00 beta=124.10 gamma=90.00
Space group P2_1/c (No. 14)
One atom of each set of equivalent atoms:
Li (0.145, 0.035, 0.396)
Mn (0.000, 0.000, 0.000)
Mn (0.484, 0.244, 0.734)
Mn (0.500, 0.000, 0.000)
O (0.264, 0.203, 0.014)
F (0.247, 0.000, 0.743)
F (0.260, 0.001, 0.255)
F (0.274, 0.736, 0.025)



What did the fourth record say?
Structure and calculated powder X-ray diffraction pattern of LiMn2OF3 (a PBE+U-relaxed structure; Cu Ka).

The 8 most intense peaks (2θ = 10–90°), in order of rising 2θ:
Position (°2θ)	I/Imax	index
16.98	88	0 1 1
17.15	51	1 0 0
17.30	51	1 0 -2
32.71	32	0 1 3
39.64	50	0 0 4
40.42	100	2 2 -2
57.68	30	2 2 2
58.12	29	2 2 -6

Cell and atoms:
Unit cell a=6.246 b=6.380 c=10.982 alpha=90.00 beta=124.10 gamma=90.00
Space group P2_1/c (No. 14)
One atom of each set of equivalent atoms:
Li (0.145, 0.035, 0.396)
Mn (0.000, 0.000, 0.000)
Mn (0.484, 0.244, 0.734)
Mn (0.500, 0.000, 0.000)
O (0.264, 0.203, 0.014)
F (0.247, 0.000, 0.743)
F (0.260, 0.001, 0.255)
F (0.274, 0.736, 0.025)